# 1
This entry pairs a crystal structure of K11Cd2Sb5 with its computed powder diffractogram. Radiation: a wavelength of 1.5418 Å. Structure: the PBE geometry in the Materials Project.
Kinematic intensities with the Lorentz-polarization factor, no thermal factor.

Structural model:
Lattice parameters (Å, degrees): 10.050 12.142 12.994 103.56 97.19 107.62
Space group P-1 (No. 2)
Inequivalent atoms, fractional coordinates:
K 0.050 0.206 0.269 x2
K 0.124 0.405 0.017 x2
K 0.142 0.926 0.037 x2
K 0.203 0.058 0.571 x2
K 0.203 0.579 0.571 x2
K 0.305 0.394 0.776 x2
K 0.350 0.912 0.790 x2
K 0.365 0.826 0.439 x2
K 0.367 0.334 0.469 x2
K 0.392 0.747 0.141 x2
K 0.413 0.273 0.136 x2
Cd 0.054 0.541 0.281 x2
Cd 0.054 0.876 0.285 x2
Sb 0.001 0.265 0.555 x2
Sb 0.190 0.131 0.865 x2
Sb 0.192 0.648 0.866 x2
Sb 0.337 0.527 0.300 x2
Sb 0.339 0.044 0.308 x2

Peak list (8 most intense, 2θ = 15–90°, in order of falling intensity)
2θ (°)  I/Imax
30.53  100
18.18  72
29.43  43
35.17  38
18.81  31
36.19  30
31.01  28
15.45  25

***

# 2
This entry pairs a crystal structure of Pu3Ru with its computed powder diffractogram. Radiation: a wavelength of 1.5418 Å. Structure: the PBE geometry in the Materials Project.
Kinematic intensities with the Lorentz-polarization factor, no thermal factor.

Structural model:
Lattice parameters (Å, degrees): 4.026 4.026 10.200 90.00 90.00 90.00
Space group I4/mmm (No. 139)
Inequivalent atoms, fractional coordinates:
Pu 0.000 0.000 0.000 x2
Pu 0.000 0.500 0.250 x4
Ru 0.000 0.000 0.500 x2

Peak list (8 most intense, 2θ = 15–90°, in order of falling intensity)
2θ (°)  I/Imax
36.14  100
45.04  27
35.19  27
58.41  26
77.24  23
63.76  20
76.68  12
65.59  9

***

# 3
This entry pairs a crystal structure of RbAlH8N4 with its computed powder diffractogram. Radiation: a wavelength of 1.5418 Å. Structure: the PBE geometry in the Materials Project.
Kinematic intensities with the Lorentz-polarization factor, no thermal factor.

Structural model:
Lattice parameters (Å, degrees): 7.979 7.979 5.134 90.00 90.00 90.00
Space group P4/n (No. 85, origin choice 2)
Inequivalent atoms, fractional coordinates:
Rb 0.250 0.250 0.124 x2
Al 0.250 0.750 0.500 x2
H 0.036 0.223 0.641 x8
H 0.080 0.790 0.104 x8
N 0.066 0.722 0.273 x8

Peak list (8 most intense, 2θ = 15–90°, in order of falling intensity)
2θ (°)  I/Imax
30.51  100
22.28  96
23.43  88
39.81  42
36.78  29
43.42  26
20.57  22
35.58  22